Structure and calculated X-ray powder pattern of HoErGa4 (a structure optimized by DFT (PBE); Cu Ka).

Top 6 peaks for 10 to 90 degrees two-theta, by angle:
| two_theta | I (rel.) |
| --- | --- |
| 33.0 | 61 |
| 33.9 | 35 |
| 35.2 | 100 |
| 39.2 | 37 |
| 42.7 | 31 |
| 64.6 | 24 |

Cell and atoms:
Unit cell a=4.2392 b=6.9359 c=8.1936 alpha=90.00 beta=90.00 gamma=90.00
Space group Imm2 (No. 44)
One atom of each set of equivalent atoms:
Ho: 0.0000 0.0000 0.0000
Er: 0.0000 0.5000 0.1207
Ga: 0.0000 0.1986 0.3990
Ga: 0.0000 0.3004 0.7209